# 1
# LaFe12B6
Calculated powder diffraction line list, λ = 1.5418 Å (Cu Kα). Input: DFT lattice parameters and positions (PBE).
No peak broadening, texture or thermal motion is included.

Cell and atoms:
Unit cell a=9.5934 b=9.5934 c=7.4961 alpha=90.00 beta=90.00 gamma=120.00
Space group R-3m (No. 166, hexagonal axes)
Symmetry-distinct sites (fractional):
La: 0.0000 0.0000 0.0000 x3
Fe: 0.0000 0.3669 0.5000 x18
Fe: 0.0901 0.1802 0.3691 x18
B: 0.0330 0.5165 0.2883 x18

Peak list (10 most intense, 15° ≤ 2θ ≤ 90°, by angle)
2θ (°), Rel. int.
30.87, 13
32.17, 38
32.33, 31
40.72, 55
40.98, 100
46.25, 22
49.11, 25
57.65, 22
61.00, 17
63.39, 12

=====

# 2
# LuFe2B2
Calculated powder diffraction line list, λ = 1.5418 Å (Cu Kα). Input: DFT lattice parameters and positions (PBE).
No peak broadening, texture or thermal motion is included.

Cell and atoms:
Unit cell a=3.471 b=3.471 c=9.223 alpha=90.00 beta=90.00 gamma=90.00
Space group I4/mmm (No. 139)
Symmetry-distinct sites (fractional):
Lu: 0.000 0.000 0.000 x2
Fe: 0.000 0.500 0.250 x4
B: 0.000 0.000 0.389 x4

Peak list (10 most intense, 15° ≤ 2θ ≤ 90°, by angle)
2θ (°), Rel. int.
27.46, 90
39.11, 72
41.69, 100
52.74, 27
56.49, 17
60.48, 21
67.58, 39
72.56, 17
77.83, 8
80.94, 12

=====

# 3
# LuFe4B
Calculated powder diffraction line list, λ = 1.5418 Å (Cu Kα). Input: DFT lattice parameters and positions (PBE).
No peak broadening, texture or thermal motion is included.

Cell and atoms:
Unit cell a=5.0012 b=5.0012 c=7.0079 alpha=90.00 beta=90.00 gamma=120.00
Space group P6/mmm (No. 191)
Symmetry-distinct sites (fractional):
Lu: 0.0000 0.0000 0.0000 x1
Lu: 0.0000 0.0000 0.5000 x1
Fe: 0.0000 0.5000 0.2142 x6
Fe: 0.3333 0.6667 0.5000 x2
B: 0.3333 0.6667 0.0000 x2

Peak list (10 most intense, 15° ≤ 2θ ≤ 90°, by angle)
2θ (°), Rel. int.
20.51, 25
32.88, 100
35.91, 35
41.71, 70
44.51, 99
62.64, 32
65.00, 15
68.94, 19
70.56, 24
76.14, 19

=====

Copy entry 2 word for word.
# LuFe2B2
Calculated powder diffraction line list, λ = 1.5418 Å (Cu Kα). Input: DFT lattice parameters and positions (PBE).
No peak broadening, texture or thermal motion is included.

Cell and atoms:
Unit cell a=3.471 b=3.471 c=9.223 alpha=90.00 beta=90.00 gamma=90.00
Space group I4/mmm (No. 139)
Symmetry-distinct sites (fractional):
Lu: 0.000 0.000 0.000 x2
Fe: 0.000 0.500 0.250 x4
B: 0.000 0.000 0.389 x4

Peak list (10 most intense, 15° ≤ 2θ ≤ 90°, by angle)
2θ (°), Rel. int.
27.46, 90
39.11, 72
41.69, 100
52.74, 27
56.49, 17
60.48, 21
67.58, 39
72.56, 17
77.83, 8
80.94, 12